Structure and simulated PXRD pattern of Ba2YCr3O7 (the GGA+U geometry in Alexandria; CuKα).
Lines closer than 0.1° are merged.

Structural model:
```
data_Ba2YCr3O7
_chemical_formula_sum 'Ba2 Y1 Cr3 O7'
_cell_length_a 3.9314
_cell_length_b 4.0358
_cell_length_c 11.7449
_cell_angle_alpha 90.00
_cell_angle_beta 90.00
_cell_angle_gamma 90.00
_space_group_name_H-M_alt 'P m m m'
_space_group_IT_number 47
_space_group_name_Hall '-P 2 2'
loop_
_atom_site_label
_atom_site_fract_x
_atom_site_fract_y
_atom_site_fract_z
Ba1 0.0000 0.0000 0.1810
Y1 0.0000 0.0000 0.5000
Cr1 0.5000 0.5000 0.0000
Cr2 0.5000 0.5000 0.3509
O1 0.0000 0.5000 0.3805
O2 0.5000 0.0000 0.0000
O3 0.5000 0.0000 0.3789
O4 0.5000 0.5000 0.1762
```

The 10 most intense peaks (2θ from 15° to 90°), sorted by position:
| h k l | d (Å) | 2θ (°) | Rel. int. |
| --- | --- | --- | --- |
| 0 0 3 | 3.922 | 22.7 | 12 |
| 1 1 0 | 2.813 | 31.8 | 100 |
| 1 0 3 | 2.774 | 32.3 | 54 |
| 1 1 3 | 2.286 | 39.4 | 20 |
| 0 2 0 | 2.018 | 44.9 | 17 |
| 2 0 0 | 1.966 | 46.2 | 16 |
| 1 2 3 | 1.632 | 56.4 | 21 |
| 2 1 3 | 1.611 | 57.2 | 18 |
| 1 1 6 | 1.607 | 57.3 | 19 |
| 2 2 0 | 1.408 | 66.4 | 10 |